Calculated powder X-ray diffraction pattern of Ho3TmRu for Cu Kα, 1.54184 Å, from DFT lattice parameters and positions (PBE).

Most intense lines, 10° ≤ 2θ ≤ 80°, sorted by position:
2θ/deg, I (rel.)
30.44, 42
31.25, 100
32.32, 67
32.78, 52
33.03, 80
33.69, 92
35.41, 49
46.70, 50

Structure:
```
10
Lattice="5.937 -1.945 0.000 5.937 1.945 0.000 -4.944 0.000 11.683" Properties=species:S:1:pos:R:3 pbc="T T T"
Ho 0.000 0.000 0.000
Ho -1.551 0.000 4.430
Ho 0.191 0.000 8.918
Ho 3.652 0.000 1.636
Ho 7.040 0.000 2.747
Ho 6.946 0.000 6.063
Tm 3.533 0.000 7.291
Tm 3.532 0.000 10.578
Ru -3.743 0.000 8.915
Ru 2.399 0.000 4.498
```

=====

Calculated powder X-ray diffraction pattern of CsBeTc3 for Cu Kα, 1.54184 Å, from DFT lattice parameters and positions (PBE).

Most intense lines, 10° ≤ 2θ ≤ 80°, sorted by position:
2θ/deg, I (rel.)
19.77, 1
28.10, 2
34.60, 100
40.16, 52
49.73, 1
58.10, 35
69.42, 38
72.98, 12

Structure:
```
5
Lattice="4.491 0.000 0.000 0.000 4.491 0.000 0.000 0.000 4.491" Properties=species:S:1:pos:R:3 pbc="T T T"
Cs 0.000 0.000 0.000
Be 2.245 2.245 2.245
Tc 0.000 2.245 2.245
Tc 2.245 0.000 2.245
Tc 2.245 2.245 0.000
```

=====

Calculated powder X-ray diffraction pattern of Ac4Pm3Sm4 for Cu Kα, 1.54184 Å, from DFT lattice parameters and positions (PBE).

Most intense lines, 10° ≤ 2θ ≤ 80°, sorted by position:
2θ/deg, I (rel.)
10.79, 36
23.18, 38
26.65, 58
30.91, 30
32.18, 80
32.77, 100
32.99, 80
51.20, 35

Structure:
```
11
Lattice="-1.881 8.078 8.200 1.881 -8.078 8.200 1.881 8.078 -8.200" Properties=species:S:1:pos:R:3 pbc="T T T"
Ac 0.000 0.000 2.583
Ac 0.000 4.529 0.000
Ac 0.000 11.627 0.000
Ac 0.000 0.000 13.817
Pm 1.881 1.685 0.000
Pm 0.000 8.078 0.000
Pm 0.000 6.393 8.200
Sm 1.881 6.205 -2.585
Sm 0.000 1.873 5.615
Sm 1.881 6.205 2.585
Sm 0.000 1.873 10.785
```

=====

Calculated powder X-ray diffraction pattern of La12SmDy7 for Cu Kα, 1.54184 Å, from DFT lattice parameters and positions (PBE).

Most intense lines, 10° ≤ 2θ ≤ 80°, sorted by position:
2θ/deg, I (rel.)
28.33, 19
30.00, 27
30.20, 27
30.30, 100
31.81, 44
31.95, 66
33.32, 16
52.77, 19

Structure:
```
20
Lattice="6.254 3.611 5.163 -6.254 3.611 5.163 0.000 -7.222 5.163" Properties=species:S:1:pos:R:3 pbc="T T T"
La -5.458 0.707 6.525
La -3.341 -4.373 8.964
La -0.857 -3.472 6.908
La -3.436 -0.993 8.581
La -2.578 2.479 6.908
La 2.117 -5.080 6.526
La -2.117 5.080 8.964
La 2.578 -2.479 8.581
La 3.436 0.993 6.908
La 0.857 3.472 8.581
La 3.341 4.373 6.525
La 5.458 -0.707 8.964
Sm 0.000 0.000 7.745
Dy 0.000 0.000 0.000
Dy -1.978 -0.556 4.755
Dy 1.471 -1.435 4.755
Dy 0.507 1.991 4.755
Dy -0.507 -1.991 10.735
Dy -1.471 1.435 10.735
Dy 1.978 0.556 10.735
```

=====

Calculated powder X-ray diffraction pattern of BaTeF6 for Cu Kα, 1.54184 Å, from DFT lattice parameters and positions (PBE).

Most intense lines, 10° ≤ 2θ ≤ 80°, sorted by position:
2θ/deg, I (rel.)
20.61, 29
22.36, 17
23.05, 45
23.18, 23
25.20, 100
25.93, 28
40.24, 29
41.83, 41

Structure:
```
32
Lattice="0.000 7.717 4.648 7.674 0.000 4.648 7.674 7.717 0.000" Properties=species:S:1:pos:R:3 pbc="T T T"
Ba 8.843 1.775 4.648
Ba 5.006 2.083 2.324
Ba 2.667 5.634 2.324
Ba 6.504 13.659 4.648
Te 9.893 6.048 2.912
Te 6.056 5.528 5.236
Te 5.455 9.386 2.912
Te 9.292 9.906 5.236
F 6.421 0.799 4.196
F 10.225 7.909 2.227
F 7.999 6.029 2.282
F 11.428 6.285 4.232
F 9.351 4.600 4.211
F 5.089 4.657 1.872
F 2.584 3.060 1.872
F 6.389 3.667 4.551
F 9.043 7.070 4.306
F 7.349 9.405 2.282
F 5.122 7.525 2.227
F 11.185 9.888 4.606
F 7.591 5.291 6.556
F 4.162 5.546 4.606
F 6.304 8.364 4.306
F 9.833 8.459 6.535
F 12.880 12.222 6.629
F 8.959 11.767 4.551
F 10.141 10.929 6.629
F 5.997 10.834 4.211
F 3.919 9.149 4.232
F 5.514 6.975 6.535
F 1.253 6.918 4.196
F 7.756 10.144 6.556
```

=====

Calculated powder X-ray diffraction pattern of Pm4Ga2Sb for Cu Kα, 1.54184 Å, from DFT lattice parameters and positions (PBE).

Most intense lines, 10° ≤ 2θ ≤ 80°, sorted by position:
2θ/deg, I (rel.)
18.45, 37
26.20, 49
29.41, 67
29.83, 100
34.94, 73
37.39, 31
44.31, 38
48.79, 37

Structure:
```
14
Lattice="4.728 -6.807 0.000 4.728 6.807 0.000 -4.718 0.000 6.797" Properties=species:S:1:pos:R:3 pbc="T T T"
Pm -0.547 3.881 6.326
Pm 0.561 0.478 2.927
Pm 2.926 3.881 3.870
Pm -1.798 -0.478 6.326
Pm 6.536 0.478 0.471
Pm 1.812 -3.881 2.927
Pm 4.177 -0.478 3.870
Pm 5.285 -3.881 0.471
Ga 0.000 0.000 0.000
Ga -2.359 0.000 3.398
Ga 0.005 3.404 3.398
Ga 2.364 -3.404 0.000
Sb 3.548 1.702 1.699
Sb 1.189 -1.702 5.098
```

=====

Calculated powder X-ray diffraction pattern of Ba3InS for Cu Kα, 1.54184 Å, from DFT lattice parameters and positions (PBE).

Most intense lines, 10° ≤ 2θ ≤ 80°, sorted by position:
2θ/deg, I (rel.)
25.29, 100
29.29, 68
41.90, 50
49.58, 48
51.94, 18
66.87, 20
68.85, 23
76.53, 17

Structure:
```
5
Lattice="6.098 0.000 0.000 0.000 6.098 0.000 0.000 0.000 6.098" Properties=species:S:1:pos:R:3 pbc="T T T"
Ba 0.000 0.000 3.049
Ba 0.000 3.049 0.000
Ba 3.049 0.000 0.000
In 3.049 3.049 3.049
S 0.000 0.000 0.000
```

=====

Calculated powder X-ray diffraction pattern of Sm2Dy4Y7 for Cu Kα, 1.54184 Å, from DFT lattice parameters and positions (PBE).

Most intense lines, 10° ≤ 2θ ≤ 80°, sorted by position:
2θ/deg, I (rel.)
30.67, 100
35.56, 50
51.12, 12
51.19, 24
60.79, 17
60.89, 24
63.88, 9
75.34, 4

Structure:
```
13
Lattice="6.179 0.000 0.000 1.037 7.914 0.000 1.022 3.880 8.556" Properties=species:S:1:pos:R:3 pbc="T T T"
Sm 1.545 3.009 3.288
Sm 6.693 8.785 5.268
Dy 3.601 9.979 6.596
Dy 3.601 5.155 1.308
Dy 4.636 6.639 7.248
Dy 4.636 1.815 1.961
Y 0.518 3.957 0.000
Y 1.541 5.422 5.926
Y 1.552 0.600 0.657
Y 3.613 7.573 3.949
Y 4.624 4.221 4.607
Y 6.685 11.194 7.900
Y 6.697 6.372 2.630
```

=====

Calculated powder X-ray diffraction pattern of TlSbPd2 for Cu Kα, 1.54184 Å, from DFT lattice parameters and positions (PBE).

Most intense lines, 10° ≤ 2θ ≤ 80°, sorted by position:
2θ/deg, I (rel.)
29.10, 100
29.51, 55
40.20, 84
40.52, 35
42.70, 32
43.58, 63
52.76, 22
60.32, 21

Structure:
```
32
Lattice="5.692 0.000 0.000 0.000 16.941 0.000 0.000 0.000 7.148" Properties=species:S:1:pos:R:3 pbc="T T T"
Tl 1.423 3.226 0.697
Tl 1.423 5.245 4.271
Tl 1.424 11.697 0.697
Tl 1.424 13.715 4.271
Tl 4.269 3.226 2.877
Tl 4.269 5.245 6.451
Tl 4.270 11.697 2.877
Tl 4.270 13.715 6.451
Sb 1.398 1.057 4.124
Sb 1.398 7.414 0.550
Sb 1.448 9.527 4.124
Sb 1.448 15.885 0.550
Sb 4.244 1.057 6.598
Sb 4.244 7.414 3.024
Sb 4.295 9.527 6.598
Sb 4.295 15.885 3.024
Pd 0.002 0.931 1.762
Pd 0.002 7.540 5.336
Pd 5.690 9.401 1.812
Pd 5.690 16.011 5.386
Pd 0.010 11.469 5.352
Pd 0.010 13.943 1.778
Pd 2.836 2.998 5.352
Pd 2.836 5.472 1.778
Pd 2.849 0.931 1.812
Pd 2.849 7.540 5.386
Pd 2.844 9.401 1.762
Pd 2.844 16.011 5.336
Pd 2.856 11.469 5.370
Pd 2.856 13.943 1.796
Pd 5.682 2.998 5.370
Pd 5.682 5.472 1.796
```